Structure and simulated powder diffractogram of Pr2SiPRh6 (a DFT-relaxed cell (GGA-PBE, Alexandria); Cu Kα (λ = 1.5418 Å)).
Neutral-atom scattering factors, no anomalous dispersion.

Main lines, in order of rising 2θ (2θ from 10° to 90°):
hkl 0 2 2, 2θ = 31.91°, I 798; hkl 1 2 2, 2θ = 35.58°, I 306; hkl 2 2 0, 2θ = 37.39°, I 1000; hkl 2 0 2, 2θ = 39.67°, I 638; hkl 0 4 0, 2θ = 41.64°, I 453; hkl 2 4 2, 2θ = 58.85°, I 397

Atomic structure:
```
data_Pr2SiPRh6
_symmetry_space_group_name_H-M 'P m m n'
_symmetry_Int_Tables_number 59
_cell_length_a 5.7806
_cell_length_b 8.6764
_cell_length_c 7.3534
_cell_angle_alpha 90.00
_cell_angle_beta 90.00
_cell_angle_gamma 90.00
loop_
_symmetry_equiv_pos_as_xyz
'x,y,z'
'-x,-y,-z'
'-x+1/2,-y+1/2,z'
'x+1/2,y+1/2,-z'
'x+1/2,-y,-z'
'-x+1/2,y,z'
'-x,y+1/2,-z'
'x,-y+1/2,z'
loop_
_atom_site_label
_atom_site_type_symbol
_atom_site_fract_x
_atom_site_fract_y
_atom_site_fract_z
Pr1 Pr 0.2500 0.0216 0.2205
Si1 Si 0.2500 0.7500 0.7764
P1 P 0.2500 0.2500 0.7337
Rh1 Rh 0.0104 0.7500 0.0392
Rh2 Rh 0.0149 0.7500 0.4937
Rh3 Rh 0.2500 0.5019 0.6297
```

***

Structure and simulated powder diffractogram of PrSmP2Rh5 (a DFT-relaxed cell (GGA-PBE, Alexandria); Cu Kα (λ = 1.5418 Å)).
Neutral-atom scattering factors, no anomalous dispersion.

Main lines, in order of rising 2θ (2θ from 10° to 90°):
hkl 0 0 3, 2θ = 24.73°, I 218; hkl 1 0 2, 2θ = 27.41°, I 240; hkl 1 1 2, 2θ = 35.29°, I 1000; hkl 2 0 0, 2θ = 44.43°, I 430; hkl 1 1 5, 2θ = 52.98°, I 293; hkl 3 1 2, 2θ = 75.85°, I 211

Atomic structure:
```
data_PrSmP2Rh5
_symmetry_space_group_name_H-M 'P 4/m m m'
_symmetry_Int_Tables_number 123
_symmetry_space_group_name_Hall '-P 4 2'
_cell_length_a 4.0778
_cell_length_b 4.0778
_cell_length_c 10.7995
_cell_angle_alpha 90.00
_cell_angle_beta 90.00
_cell_angle_gamma 90.00
loop_
_atom_site_label
_atom_site_type_symbol
_atom_site_fract_x
_atom_site_fract_y
_atom_site_fract_z
Pr1 Pr 0.0000 0.0000 0.0000
Sm1 Sm 0.0000 0.0000 0.5000
P1 P 0.5000 0.5000 0.2103
Rh1 Rh 0.0000 0.5000 0.3005
Rh2 Rh 0.5000 0.5000 0.0000
```

***

Structure and simulated powder diffractogram of PrP3Ru5 (a DFT-relaxed cell (GGA-PBE, Alexandria); Cu Kα (λ = 1.5418 Å)).
Neutral-atom scattering factors, no anomalous dispersion.

Main lines, in order of rising 2θ (2θ from 10° to 90°):
hkl 1 3 0, 2θ = 31.74°, I 492; hkl 1 1 3, 2θ = 32.82°, I 1000; hkl 1 3 2, 2θ = 35.16°, I 501; hkl 1 1 4, 2θ = 38.48°, I 792; hkl 1 5 0, 2θ = 43.73°, I 472; hkl 2 0 0, 2θ = 46.42°, I 830

Atomic structure:
```
data_PrP3Ru5
_symmetry_space_group_name_H-M 'C m c m'
_symmetry_Int_Tables_number 63
_symmetry_space_group_name_Hall '-C 2c 2'
_cell_length_a 3.9111
_cell_length_b 12.2004
_cell_length_c 12.0290
_cell_angle_alpha 90.00
_cell_angle_beta 90.00
_cell_angle_gamma 90.00
loop_
_atom_site_label
_atom_site_type_symbol
_atom_site_fract_x
_atom_site_fract_y
_atom_site_fract_z
Pr1 Pr 0.0000 0.1601 0.2500
P1 P 0.0000 0.1294 0.7500
P2 P 0.0000 0.3865 0.5434
Ru1 Ru 0.0000 0.0000 0.0000
Ru2 Ru 0.0000 0.2055 0.5736
Ru3 Ru 0.0000 0.4433 0.1470
```

***

Structure and simulated powder diffractogram of PrP2Ru4 (a DFT-relaxed cell (GGA-PBE, Alexandria); Cu Kα (λ = 1.5418 Å)).
Neutral-atom scattering factors, no anomalous dispersion.

Main lines, in order of rising 2θ (2θ from 10° to 90°):
hkl 2 1 1, 2θ = 35.42°, I 1000; hkl 3 1 0, 2θ = 37.55°, I 446; hkl 2 2 1, 2θ = 41.17°, I 353; hkl 3 1 1, 2θ = 44.65°, I 328; hkl 0 0 2, 2θ = 47.60°, I 231; hkl 5 0 1, 2θ = 66.42°, I 277

Atomic structure:
```
data_PrP2Ru4
_symmetry_space_group_name_H-M 'P 42/m n m'
_symmetry_Int_Tables_number 136
_symmetry_space_group_name_Hall '-P 4n 2n'
_cell_length_a 7.5737
_cell_length_b 7.5737
_cell_length_c 3.8208
_cell_angle_alpha 90.00
_cell_angle_beta 90.00
_cell_angle_gamma 90.00
loop_
_atom_site_label
_atom_site_type_symbol
_atom_site_fract_x
_atom_site_fract_y
_atom_site_fract_z
Pr1 Pr 0.0000 0.0000 0.0000
P1 P 0.2246 0.2246 0.5000
Ru1 Ru 0.0748 0.6604 0.5000
```

***

Structure and simulated powder diffractogram of Pr3PS (a DFT-relaxed cell (GGA-PBE, Alexandria); Cu Kα (λ = 1.5418 Å)).
Neutral-atom scattering factors, no anomalous dispersion.

Main lines, in order of rising 2θ (2θ from 10° to 90°):
hkl 0 0 1, 2θ = 23.89°, I 285; hkl 1 1 0, 2θ = 26.13°, I 838; hkl 1 1 1, 2θ = 35.70°, I 1000; hkl 3 0 0, 2θ = 46.10°, I 270; hkl 3 0 1, 2θ = 52.57°, I 206; hkl 2 2 1, 2θ = 59.63°, I 221

Atomic structure:
```
data_Pr3PS
_symmetry_space_group_name_H-M 'P -6'
_symmetry_Int_Tables_number 174
_cell_length_a 6.8213
_cell_length_b 6.8213
_cell_length_c 3.7243
_cell_angle_alpha 90.00
_cell_angle_beta 90.00
_cell_angle_gamma 120.00
loop_
_symmetry_equiv_pos_as_xyz
'x,y,z'
'-x+y,-x,-z'
'-y,x-y,z'
'x,y,-z'
'-x+y,-x,z'
'-y,x-y,-z'
loop_
_atom_site_label
_atom_site_type_symbol
_atom_site_fract_x
_atom_site_fract_y
_atom_site_fract_z
Pr1 Pr 0.0080 0.6719 0.0000
P1 P 0.3333 0.6667 0.5000
S1 S 0.0000 0.0000 0.5000
```

***

Structure and simulated powder diffractogram of Pr7P4S4 (a DFT-relaxed cell (GGA-PBE, Alexandria); Cu Kα (λ = 1.5418 Å)).
Neutral-atom scattering factors, no anomalous dispersion.

Main lines, in order of rising 2θ (2θ from 10° to 90°):
hkl 0 0 2, 2θ = 23.83°, I 587; hkl 3 2 1, 2θ = 25.07°, I 790; hkl 3 3 0, 2θ = 25.97°, I 478; hkl 4 1 1, 2θ = 27.95°, I 388; hkl 5 0 1, 2θ = 33.02°, I 1000; hkl 4 2 2, 2θ = 36.63°, I 644

Atomic structure:
```
data_Pr7P4S4
_symmetry_space_group_name_H-M 'I 4/m m m'
_symmetry_Int_Tables_number 139
_symmetry_space_group_name_Hall '-I 4 2'
_cell_length_a 14.5569
_cell_length_b 14.5569
_cell_length_c 7.4672
_cell_angle_alpha 90.00
_cell_angle_beta 90.00
_cell_angle_gamma 90.00
loop_
_atom_site_label
_atom_site_type_symbol
_atom_site_fract_x
_atom_site_fract_y
_atom_site_fract_z
Pr1 Pr 0.0000 0.0000 0.2446
Pr2 Pr 0.0000 0.2698 0.0000
Pr3 Pr 0.0000 0.3591 0.5000
Pr4 Pr 0.2019 0.2019 0.5000
P1 P 0.1488 0.3512 0.2500
S1 S 0.0000 0.1657 0.5000
S2 S 0.1162 0.1162 0.0000
```

***

Structure and simulated powder diffractogram of Pr3PSeS (a DFT-relaxed cell (GGA-PBE, Alexandria); Cu Kα (λ = 1.5418 Å)).
Neutral-atom scattering factors, no anomalous dispersion.

Main lines, in order of rising 2θ (2θ from 10° to 90°):
hkl 1 0 0, 2θ = 11.05°, I 269; hkl 0 1 2, 2θ = 26.13°, I 350; hkl 2 1 -1, 2θ = 30.01°, I 1000; hkl 0 0 4, 2θ = 30.82°, I 595; hkl 0 2 0, 2θ = 42.91°, I 545; hkl 2 1 -5, 2θ = 44.19°, I 339

Atomic structure:
```
data_Pr3PSeS
_symmetry_space_group_name_H-M 'P 1 21/m 1'
_symmetry_Int_Tables_number 11
_cell_length_a 8.4188
_cell_length_b 4.2168
_cell_length_c 12.1935
_cell_angle_alpha 90.00
_cell_angle_beta 107.93
_cell_angle_gamma 90.00
loop_
_symmetry_equiv_pos_as_xyz
'x,y,z'
'-x,-y,-z'
'-x,y+1/2,-z'
'x,-y+1/2,z'
loop_
_atom_site_label
_atom_site_type_symbol
_atom_site_fract_x
_atom_site_fract_y
_atom_site_fract_z
Pr1 Pr 0.0354 0.2500 0.3730
Pr2 Pr 0.1770 0.7500 0.1179
Pr3 Pr 0.3028 0.2500 0.8699
P1 P 0.0622 0.7500 0.8735
Se1 Se 0.4393 0.2500 0.1357
S1 S 0.1760 0.2500 0.6182
```

***

Structure and simulated powder diffractogram of Pr8Te4P3S (a DFT-relaxed cell (GGA-PBE, Alexandria); Cu Kα (λ = 1.5418 Å)).
Neutral-atom scattering factors, no anomalous dispersion.

Main lines, in order of rising 2θ (2θ from 10° to 90°):
hkl 0 2 4, 2θ = 28.99°, I 1000; hkl 2 0 5, 2θ = 31.47°, I 179; hkl 2 0 8, 2θ = 40.68°, I 325; hkl 2 2 0, 2θ = 42.24°, I 380; hkl 4 0 4, 2θ = 52.05°, I 192; hkl 2 4 4, 2θ = 69.19°, I 162

Atomic structure:
```
data_Pr8Te4P3S
_symmetry_space_group_name_H-M 'R -3 m'
_symmetry_Int_Tables_number 166
_symmetry_space_group_name_Hall '-R 3 2"'
_cell_length_a 8.5572
_cell_length_b 8.5572
_cell_length_c 22.1529
_cell_angle_alpha 90.00
_cell_angle_beta 90.00
_cell_angle_gamma 120.00
loop_
_atom_site_label
_atom_site_type_symbol
_atom_site_fract_x
_atom_site_fract_y
_atom_site_fract_z
Pr1 Pr 0.0000 0.0000 0.2378
Pr2 Pr 0.0031 0.5016 0.7626
Te1 Te 0.0000 0.0000 0.0000
Te2 Te 0.0000 0.5000 0.0000
P1 P 0.0000 0.5000 0.5000
S1 S 0.0000 0.0000 0.5000
```